Record 1
Theoretical X-ray powder pattern
Compound: BiRuI
Radiation: Cu Kα
Structure: the GGA-PBE geometry in Alexandria

```
BiRuI
1.0
9.0637 0.0000 0.0000
0.0000 9.0637 0.0000
0.0000 0.0000 4.1402
Bi Ru I
4 4 4
Cartesian
0.4975 6.8903 0.0000
2.1734 0.4975 2.0701
6.8903 8.5662 2.0701
8.5662 2.1734 0.0000
2.1516 2.1808 0.0000
2.1808 6.9121 2.0701
6.8830 2.1516 2.0701
6.9121 6.8830 0.0000
2.2118 4.0788 2.0701
4.0788 6.8520 0.0000
4.9850 2.2118 0.0000
6.8520 4.9850 2.0701
```

Main lines, in order of rising 2θ (15 to 90 degrees two-theta):
Position (°2θ), I_rel
19.59, 29
27.84, 16
29.22, 100
31.21, 36
38.19, 39
39.78, 23
43.73, 18
47.92, 41
54.69, 15
76.65, 19

=====

Record 2
Theoretical X-ray powder pattern
Compound: BiSbI2
Radiation: Cu Kα
Structure: the GGA-PBE geometry in Alexandria

```
BiSbI2
1.0
3.6637 0.0000 0.0000
0.0438 3.8179 0.0000
0.0025 0.0816 11.1646
Bi Sb I
1 1 2
Cartesian
0.0000 0.0000 0.0000
0.0231 1.9498 5.5823
0.0302 1.9856 8.6103
3.6798 1.9140 2.5543
```

Main lines, in order of rising 2θ (15 to 90 degrees two-theta):
Position (°2θ), I_rel
24.30, 100
24.59, 24
24.70, 26
28.22, 22
28.42, 22
32.07, 44
33.50, 24
33.75, 26
40.64, 46
47.65, 23

=====

Record 3
Theoretical X-ray powder pattern
Compound: Tl2SnBiI6
Radiation: Cu Kα
Structure: the GGA-PBE geometry in Alexandria

```
Tl2SnBiI6
1.0
8.1999 0.0000 0.0000
4.0373 7.6494 0.0000
0.0145 4.6132 7.4263
Tl Sn Bi I
2 1 1 6
Cartesian
0.0000 0.0000 0.0000
7.9028 9.9294 3.6946
3.9073 7.2192 4.4097
8.0528 4.9136 0.6737
0.4999 2.1704 2.6320
3.3237 4.6562 6.1617
5.4176 5.2612 2.3210
6.6230 7.5831 6.1168
9.6012 6.9693 2.4304
10.5053 9.3394 6.1727
```

Main lines, in order of rising 2θ (15 to 90 degrees two-theta):
Position (°2θ), I_rel
20.34, 32
23.12, 40
24.40, 49
27.45, 49
29.90, 73
30.75, 36
30.97, 37
32.65, 100
35.28, 47
37.22, 34

=====

Record 4
Theoretical X-ray powder pattern
Compound: Sr3BiI
Radiation: Cu Kα
Structure: the GGA-PBE geometry in Alexandria

```
Sr3BiI
1.0
6.4743 0.0000 0.0000
0.0000 6.4743 0.0000
0.0000 0.0000 6.4743
Sr Bi I
3 1 1
Cartesian
0.0000 0.0000 3.2372
0.0000 3.2372 0.0000
3.2372 0.0000 0.0000
0.0000 0.0000 0.0000
3.2372 3.2372 3.2372
```

Main lines, in order of rising 2θ (15 to 90 degrees two-theta):
Position (°2θ), I_rel
19.39, 76
23.80, 19
27.55, 100
30.88, 24
33.92, 39
39.36, 77
48.72, 28
52.91, 22
64.35, 37
71.37, 27

=====

Record 5
Theoretical X-ray powder pattern
Compound: Sr6BiI8
Radiation: Cu Kα
Structure: the GGA-PBE geometry in Alexandria

```
Sr6BiI8
1.0
4.1901 2.4192 11.4690
-4.1901 2.4192 11.4690
0.0000 -4.8383 11.4690
Sr Bi I
6 1 8
Cartesian
-1.3130 -2.5642 13.4783
-2.8771 -0.1450 20.9286
-1.5641 2.4192 13.4783
1.5641 -2.4192 20.9286
2.8772 0.1450 13.4784
1.3130 2.5642 20.9286
0.0000 0.0000 0.0000
-2.7265 -0.1172 15.2272
-1.2618 -2.4199 19.1797
0.0000 0.0000 11.4691
1.4648 -2.3026 15.2272
-1.4648 2.3027 19.1797
0.0000 0.0000 22.9379
1.2618 2.4199 15.2272
2.7265 0.1172 19.1797
```

Main lines, in order of rising 2θ (15 to 90 degrees two-theta):
Position (°2θ), I_rel
22.59, 29
26.34, 100
37.17, 39
38.03, 42
44.31, 8
46.13, 20
54.22, 13
60.67, 19
61.86, 17
67.57, 13

=====

Record 6
Theoretical X-ray powder pattern
Compound: Sr6Bi2TeI3
Radiation: Cu Kα
Structure: the GGA-PBE geometry in Alexandria

```
Sr6Bi2TeI3
1.0
10.5192 -2.4440 0.0000
10.5192 2.4440 0.0000
-2.0308 0.0000 9.4079
Sr Bi Te I
6 2 1 3
Cartesian
-0.3249 0.0000 2.2328
5.9862 0.0000 4.1112
5.2880 0.0000 8.4874
13.7196 0.0000 0.9204
13.0215 0.0000 5.2967
19.3325 0.0000 7.1750
2.8276 0.0000 3.0826
16.1801 0.0000 6.3253
10.5192 0.0000 0.0000
1.7430 0.0000 7.8175
9.5038 0.0000 4.7039
17.2646 0.0000 1.5903
```

Main lines, in order of rising 2θ (15 to 90 degrees two-theta):
Position (°2θ), I_rel
22.35, 10
25.99, 100
36.82, 41
37.35, 36
45.62, 22
46.51, 6
53.45, 13
60.00, 19
60.75, 10
66.63, 9

=====

Record 7
Theoretical X-ray powder pattern
Compound: TaBiI2
Radiation: Cu Kα
Structure: the GGA-PBE geometry in Alexandria

```
TaBiI2
1.0
-5.0419 5.0419 2.8045
5.0419 -5.0419 2.8045
5.0419 5.0419 -2.8045
Ta Bi I
2 2 4
Cartesian
0.0000 0.0000 0.0000
0.0000 5.0419 1.4022
5.0419 0.0000 1.4022
0.0000 0.0000 2.8045
-1.1313 2.5209 0.7011
2.5209 3.9106 2.1034
1.1313 7.5628 0.7011
-2.5209 6.1732 2.1034
```

Main lines, in order of rising 2θ (15 to 90 degrees two-theta):
Position (°2θ), I_rel
17.59, 100
24.98, 68
25.34, 65
27.98, 31
34.36, 90
35.61, 36
39.99, 93
42.95, 83
50.32, 34
56.98, 37

=====

Record 8
Theoretical X-ray powder pattern
Compound: Tb3BiI7
Radiation: Cu Kα
Structure: the GGA-PBE geometry in Alexandria

```
Tb3BiI7
1.0
8.6902 0.0000 0.0000
-4.3451 7.5260 0.0000
0.0000 0.0000 7.5546
Tb Bi I
3 1 7
Cartesian
-2.0832 3.8146 0.0000
2.0832 3.8146 0.0000
0.0000 7.4228 0.0000
0.0000 5.0173 2.0909
0.0000 2.5337 5.7259
-2.1509 6.2591 5.7259
2.2003 1.2703 1.7128
2.1509 6.2591 5.7259
4.3451 2.5087 5.7266
6.4899 1.2703 1.7128
4.3451 4.9853 1.7128
```

Main lines, in order of rising 2θ (15 to 90 degrees two-theta):
Position (°2θ), I_rel
23.59, 13
26.46, 100
33.62, 52
41.57, 32
43.23, 28
49.95, 18
54.49, 13
65.48, 16
66.95, 14
70.79, 11

=====

Record 9
Theoretical X-ray powder pattern
Compound: BiTe6I2
Radiation: Cu Kα
Structure: the GGA-PBE geometry in Alexandria

```
BiTe6I2
1.0
4.7693 0.0000 0.0000
-1.4067 9.0206 0.0000
-1.7002 -3.6734 8.5481
Bi Te I
1 6 2
Cartesian
0.0000 0.0000 0.0000
-1.4754 5.2922 4.4015
-1.3558 1.3429 6.6063
-0.0329 1.7985 2.6458
1.6953 3.5487 5.9023
3.0182 4.0043 1.9418
3.1378 0.0550 4.1467
0.4623 -1.7463 7.4662
1.2001 7.0935 1.0819
```

Main lines, in order of rising 2θ (15 to 90 degrees two-theta):
Position (°2θ), I_rel
19.48, 27
25.45, 88
26.08, 100
26.98, 78
27.38, 30
35.21, 36
37.69, 27
38.05, 39
38.25, 30
41.88, 32

=====

Record 10
Theoretical X-ray powder pattern
Compound: BiTe2I
Radiation: Cu Kα
Structure: the GGA-PBE geometry in Alexandria

```
BiTe2I
1.0
6.0062 0.0000 0.0000
0.0000 9.0240 0.0000
-1.9248 0.0000 5.9100
Bi Te I
2 4 2
Cartesian
0.0034 2.2560 0.1221
4.0780 6.7680 5.7879
2.0429 4.5582 0.9905
2.0429 8.9778 0.9905
2.0385 0.0462 4.9195
2.0385 4.4658 4.9195
-0.8684 6.7680 2.8664
4.9498 2.2560 3.0436
```

Main lines, in order of rising 2θ (15 to 90 degrees two-theta):
Position (°2θ), I_rel
25.15, 100
29.42, 37
31.33, 16
31.86, 20
36.34, 38
39.96, 18
41.67, 30
50.39, 17
64.01, 12
66.60, 12

=====

Record 11
Theoretical X-ray powder pattern
Compound: Bi2Te2I
Radiation: Cu Kα
Structure: the GGA-PBE geometry in Alexandria

```
Bi2Te2I
1.0
-2.8032 2.8032 6.3150
2.8032 -2.8032 6.3150
2.8032 2.8032 -6.3150
Bi Te I
2 2 1
Cartesian
2.8032 0.0000 3.1575
0.0000 2.8032 3.1575
0.0000 0.0000 1.8279
0.0000 0.0000 10.8021
0.0000 0.0000 6.3150
```

Main lines, in order of rising 2θ (15 to 90 degrees two-theta):
Position (°2θ), I_rel
26.52, 100
31.93, 55
35.02, 17
36.38, 32
41.94, 21
45.78, 20
49.00, 27
53.69, 24
59.83, 16
69.29, 19